Theoretical powder diffraction line list of Hf5Mg2In for a wavelength of 1.5418 Å, from a cell relaxed with PBE.
No peak broadening, texture or thermal motion is included.

Most intense lines, 10 to 90 degrees two-theta, by intensity:
d = 2.421 Å, rel. 100; d = 2.697 Å, rel. 81; d = 2.123 Å, rel. 39; d = 1.276 Å, rel. 26; d = 1.606 Å, rel. 26; d = 2.456 Å, rel. 24

Structure:
Unit cell a=4.2463 b=4.2463 c=12.2783 alpha=90.00 beta=90.00 gamma=90.00
Positions (direct):
1 Hf 0.0000 0.0000 0.0000
2 Hf 0.0000 0.5000 0.1838
3 Hf 0.0000 0.5000 0.8162
4 Hf 0.5000 0.0000 0.1838
5 Hf 0.5000 0.0000 0.8162
6 Mg 0.0000 0.0000 0.3786
7 Mg 0.0000 0.0000 0.6214
8 In 0.5000 0.5000 0.0000

=====

Theoretical powder diffraction line list of Hf4InN3 for a wavelength of 1.5418 Å, from a cell relaxed with PBE.
No peak broadening, texture or thermal motion is included.

Most intense lines, 10 to 90 degrees two-theta, by intensity:
d = 2.322 Å, rel. 100; d = 2.437 Å, rel. 89; d = 2.545 Å, rel. 71; d = 1.356 Å, rel. 62; d = 2.535 Å, rel. 59; d = 1.604 Å, rel. 54

Structure:
Unit cell a=3.2084 b=3.2084 c=25.3525 alpha=90.00 beta=90.00 gamma=120.00
Positions (direct):
1 Hf 0.0000 0.0000 0.1530
2 Hf 0.0000 0.0000 0.3470
3 Hf 0.0000 0.0000 0.6530
4 Hf 0.0000 0.0000 0.8470
5 Hf 0.3333 0.6667 0.0534
6 Hf 0.3333 0.6667 0.4466
7 Hf 0.6667 0.3333 0.5534
8 Hf 0.6667 0.3333 0.9466
9 In 0.3333 0.6667 0.2500
10 In 0.6667 0.3333 0.7500
11 N 0.0000 0.0000 0.0000
12 N 0.0000 0.0000 0.5000
13 N 0.3333 0.6667 0.6028
14 N 0.3333 0.6667 0.8972
15 N 0.6667 0.3333 0.1028
16 N 0.6667 0.3333 0.3972

=====

Theoretical powder diffraction line list of Hf2Nb4In3N3 for a wavelength of 1.5418 Å, from a cell relaxed with PBE.
No peak broadening, texture or thermal motion is included.

Most intense lines, 10 to 90 degrees two-theta, by intensity:
d = 2.414 Å, rel. 100; d = 2.406 Å, rel. 48; d = 2.392 Å, rel. 30; d = 2.788 Å, rel. 21; d = 1.337 Å, rel. 20; d = 1.614 Å, rel. 19

Structure:
Unit cell a=5.5769 b=5.5769 c=14.6996 alpha=100.76 beta=100.76 gamma=60.28
Positions (direct):
1 Hf 0.0278 0.8575 0.5871
2 Hf 0.1425 0.9722 0.9129
3 Hf 0.8575 0.0278 0.0871
4 Hf 0.9722 0.1425 0.4129
5 Nb 0.1940 0.3681 0.0794
6 Nb 0.3167 0.4636 0.4207
7 Nb 0.3681 0.1940 0.5794
8 Nb 0.4636 0.3167 0.9207
9 Nb 0.5364 0.6833 0.0793
10 Nb 0.6319 0.8060 0.4206
11 Nb 0.6833 0.5364 0.5793
12 Nb 0.8060 0.6319 0.9206
13 In 0.0802 0.2714 0.7481
14 In 0.2714 0.0802 0.2481
15 In 0.4352 0.5648 0.7500
16 In 0.5648 0.4352 0.2500
17 In 0.7286 0.9198 0.7519
18 In 0.9198 0.7286 0.2519
19 N 0.0000 0.5000 0.5000
20 N 0.1548 0.6911 0.0000
21 N 0.3089 0.8452 0.5000
22 N 0.5000 0.0000 0.0000
23 N 0.6911 0.1548 0.5000
24 N 0.8452 0.3089 0.0000

=====

Theoretical powder diffraction line list of Hf4InPN2 for a wavelength of 1.5418 Å, from a cell relaxed with PBE.
No peak broadening, texture or thermal motion is included.

Most intense lines, 10 to 90 degrees two-theta, by intensity:
d = 2.405 Å, rel. 100; d = 2.861 Å, rel. 30; d = 1.652 Å, rel. 27; d = 1.439 Å, rel. 20; d = 2.629 Å, rel. 18; d = 1.362 Å, rel. 17

Structure:
Unit cell a=3.3036 b=3.3036 c=13.3133 alpha=90.00 beta=90.00 gamma=120.00
Positions (direct):
1 Hf 0.0000 0.0000 0.1327
2 Hf 0.0000 0.0000 0.8673
3 Hf 0.6667 0.3333 0.3178
4 Hf 0.6667 0.3333 0.6822
5 In 0.0000 0.0000 0.5000
6 P 0.6667 0.3333 0.0000
7 N 0.3333 0.6667 0.2286
8 N 0.3333 0.6667 0.7714

=====

Theoretical powder diffraction line list of Hf2Sc4In3N3 for a wavelength of 1.5418 Å, from a cell relaxed with PBE.
No peak broadening, texture or thermal motion is included.

Most intense lines, 10 to 90 degrees two-theta, by intensity:
d = 2.455 Å, rel. 100; d = 2.835 Å, rel. 17; d = 1.637 Å, rel. 16; d = 1.362 Å, rel. 16; d = 1.418 Å, rel. 16; d = 4.881 Å, rel. 12

Structure:
Unit cell a=5.6691 b=5.6691 c=15.0969 alpha=100.87 beta=100.87 gamma=60.04
Positions (direct):
1 Hf 0.0265 0.8559 0.5793
2 Hf 0.1441 0.9735 0.9207
3 Hf 0.8559 0.0265 0.0793
4 Hf 0.9735 0.1441 0.4207
5 Sc 0.1935 0.3652 0.0820
6 Sc 0.3100 0.4688 0.4180
7 Sc 0.3652 0.1935 0.5820
8 Sc 0.4688 0.3100 0.9180
9 Sc 0.5312 0.6900 0.0820
10 Sc 0.6348 0.8065 0.4180
11 Sc 0.6900 0.5312 0.5820
12 Sc 0.8065 0.6348 0.9180
13 In 0.0830 0.2447 0.7491
14 In 0.2447 0.0830 0.2491
15 In 0.4114 0.5886 0.7500
16 In 0.5886 0.4114 0.2500
17 In 0.7553 0.9170 0.7509
18 In 0.9170 0.7553 0.2509
19 N 0.0000 0.5000 0.5000
20 N 0.1630 0.6743 0.0000
21 N 0.3257 0.8370 0.5000
22 N 0.5000 0.0000 0.0000
23 N 0.6743 0.1630 0.5000
24 N 0.8370 0.3257 0.0000

=====

Theoretical powder diffraction line list of Na2HfScIn2Pt2 for a wavelength of 1.5418 Å, from a cell relaxed with PBE.
No peak broadening, texture or thermal motion is included.

Most intense lines, 10 to 90 degrees two-theta, by intensity:
d = 2.370 Å, rel. 100; d = 1.368 Å, rel. 34; d = 3.870 Å, rel. 34; d = 2.021 Å, rel. 18; d = 1.676 Å, rel. 17; d = 1.185 Å, rel. 11

Structure:
Unit cell a=4.7402 b=4.7402 c=6.7035 alpha=90.00 beta=90.00 gamma=90.00
Positions (direct):
1 Na 0.0000 0.5000 0.2428
2 Na 0.5000 0.0000 0.7572
3 Hf 0.0000 0.0000 0.5000
4 Sc 0.5000 0.5000 0.0000
5 In 0.0000 0.0000 0.0000
6 In 0.5000 0.5000 0.5000
7 Pt 0.0000 0.5000 0.7396
8 Pt 0.5000 0.0000 0.2604

=====

Theoretical powder diffraction line list of HfIn2O4 for a wavelength of 1.5418 Å, from a cell relaxed with PBE.
No peak broadening, texture or thermal motion is included.

Most intense lines, 10 to 90 degrees two-theta, by intensity:
d = 2.843 Å, rel. 100; d = 3.334 Å, rel. 40; d = 1.667 Å, rel. 37; d = 1.816 Å, rel. 26; d = 1.925 Å, rel. 17; d = 2.722 Å, rel. 14

Structure:
Unit cell a=6.6648 b=6.6648 c=6.6648 alpha=119.89 beta=119.89 gamma=90.18
Positions (direct):
1 Hf 0.3750 0.6250 0.7500
2 Hf 0.6250 0.3750 0.2500
3 In 0.0000 0.0000 0.0000
4 In 0.0000 0.0000 0.5000
5 In 0.0000 0.5000 0.0000
6 In 0.5000 0.0000 0.5000
7 O 0.2541 0.7455 0.5086
8 O 0.2545 0.2631 0.5086
9 O 0.2545 0.7459 0.9914
10 O 0.2631 0.2545 0.0086
11 O 0.7369 0.7455 0.9914
12 O 0.7455 0.2541 0.0086
13 O 0.7455 0.7369 0.4914
14 O 0.7459 0.2545 0.4914

=====

Theoretical powder diffraction line list of Hf3InO for a wavelength of 1.5418 Å, from a cell relaxed with PBE.
No peak broadening, texture or thermal motion is included.

Most intense lines, 10 to 90 degrees two-theta, by intensity:
d = 2.617 Å, rel. 100; d = 2.466 Å, rel. 91; d = 2.499 Å, rel. 53; d = 2.346 Å, rel. 43; d = 2.415 Å, rel. 30; d = 1.365 Å, rel. 29

Structure:
Unit cell a=6.0243 b=6.0243 c=9.3856 alpha=90.00 beta=90.00 gamma=148.44
Positions (direct):
1 Hf 0.0266 0.9734 0.7500
2 Hf 0.3726 0.6274 0.5249
3 Hf 0.3726 0.6274 0.9751
4 Hf 0.6274 0.3726 0.0249
5 Hf 0.6274 0.3726 0.4751
6 Hf 0.9734 0.0266 0.2500
7 In 0.2496 0.7504 0.2500
8 In 0.7504 0.2496 0.7500
9 O 0.0000 0.0000 0.0000
10 O 0.0000 0.0000 0.5000